Diffraction record for Er4MgGe4. The powder X-ray diffraction pattern is theoretical, not measured: it uses a crystal structure in the Materials Project, relaxed with PBE and copper Kα.
Peak positions follow from Bragg's law for the DFT cell and can differ from measured ones.

Crystal structure
```
data_Er4MgGe4
_space_group_name_H-M_alt 'P n m a'
_space_group_IT_number 62
_cell_length_a 7.1728
_cell_length_b 14.4587
_cell_length_c 7.7172
_cell_angle_alpha 90.00
_cell_angle_beta 90.00
_cell_angle_gamma 90.00
loop_
_space_group_symop_operation_xyz
'x,y,z'
'-x,-y,-z'
'-x+1/2,-y,z+1/2'
'x+1/2,y,-z+1/2'
'x+1/2,-y+1/2,-z+1/2'
'-x+1/2,y+1/2,z+1/2'
'-x,y+1/2,-z'
'x,-y+1/2,z'
loop_
_atom_site_label
_atom_site_fract_x
_atom_site_fract_y
_atom_site_fract_z
Er1 0.0089 0.0945 0.1827
Er2 0.1691 0.1266 0.6772
Mg1 0.1609 0.7500 0.5157
Ge1 0.0249 0.7500 0.0916
Ge2 0.1721 0.5362 0.4659
Ge3 0.2107 0.2500 0.3611
```

Peak list (8 most intense, 15° ≤ 2θ ≤ 90°, in order of rising 2θ)
| Position (°2θ) | Rel. int. | h k l |
| --- | --- | --- |
| 32.2 | 82 | 1 3 2 |
| 33.2 | 100 | 2 3 1 |
| 34.0 | 44 | 0 4 2 |
| 36.3 | 34 | 1 4 2 |
| 37.2 | 31 | 2 4 1 |
| 37.7 | 26 | 1 1 3 |
| 39.5 | 36 | 3 0 1 |
| 58.6 | 27 | 3 4 3 |